# BiI
Computed X-ray powder pattern, Cu Kα, 1.54184 Å. Input: the GGA-PBE geometry in the Materials Project.
Lines closer than 0.1° are merged.

Structural model:
abc: 15.952 4.408 21.618
angles: 90.00 96.58 90.00
Space group C2/m (No. 12)
Asymmetric unit:
Bi 0.004 0.000 0.113 (multiplicity 4)
Bi 0.062 0.000 0.254 (multiplicity 4)
Bi 0.194 0.500 0.246 (multiplicity 4)
Bi 0.246 0.500 0.388 (multiplicity 4)
I 0.123 0.500 0.638 (multiplicity 4)
I 0.124 0.000 0.430 (multiplicity 4)
I 0.124 0.500 0.855 (multiplicity 4)
I 0.125 0.500 0.069 (multiplicity 4)

Largest 6 diffraction maxima, in order of rising 2θ, 5° ≤ 2θ ≤ 70°:
Position (°2θ)	d [Å]	Rel. int.	(hkl)
8.23	10.738	29	0 0 2
11.45	7.727	68	2 0 -1
24.68	3.607	65	2 0 5
26.35	3.383	100	3 1 -1
27.02	3.299	33	3 1 -2
48.40	1.881	33	6 0 -9